No. 1
# ErZn6Ga2
Computed PXRD pattern, a wavelength of 1.5418 Å. Input: DFT lattice parameters and positions (GGA-PBE).
Peak positions follow from Bragg's law for the DFT cell and can differ from measured ones.

Most intense lines, 10° ≤ 2θ ≤ 80°, low angle first:
2θ/deg	Rel. int.
29.5	19.1
32.6	17.2
37.0	100.0
43.4	19.1
44.5	45.5
45.8	14.6
59.2	11.4
64.7	14.2
65.7	9.9
76.9	19.5

a = 4.075 Å, b = 4.075 Å, c = 9.079 Å
α = 90.00°, β = 90.00°, γ = 90.00°
Atoms (fractional coordinates):
Er1 0.000 0.000 0.000
Zn1 0.000 0.000 0.500
Zn2 0.000 0.500 0.300
Zn3 0.000 0.500 0.700
Zn4 0.500 0.000 0.300
Zn5 0.500 0.000 0.700
Zn6 0.500 0.500 0.500
Ga1 0.500 0.500 0.133
Ga2 0.500 0.500 0.867

=====

No. 2
# ErZnGa6
Computed PXRD pattern, a wavelength of 1.5418 Å. Input: DFT lattice parameters and positions (GGA-PBE).
Peak positions follow from Bragg's law for the DFT cell and can differ from measured ones.

Most intense lines, 10° ≤ 2θ ≤ 80°, low angle first:
2θ/deg	Rel. int.
15.9	7.4
25.6	7.4
35.2	29.3
35.9	15.7
38.1	100.0
40.6	23.8
54.8	16.1
65.1	14.4
70.7	8.7
72.1	14.6

a = 6.661 Å, b = 10.191 Å, c = 4.449 Å
α = 90.00°, β = 90.00°, γ = 90.00°
Atoms (fractional coordinates):
Er1 0.000 0.000 0.000
Er2 0.500 0.500 0.000
Zn1 0.000 0.500 0.000
Zn2 0.500 0.000 0.000
Ga1 0.000 0.213 0.500
Ga2 0.000 0.787 0.500
Ga3 0.202 0.500 0.500
Ga4 0.250 0.250 0.000
Ga5 0.250 0.750 0.000
Ga6 0.298 0.000 0.500
Ga7 0.500 0.287 0.500
Ga8 0.500 0.713 0.500
Ga9 0.702 0.000 0.500
Ga10 0.750 0.250 0.000
Ga11 0.750 0.750 0.000
Ga12 0.798 0.500 0.500

=====

No. 3
# ErZn2Ga4
Computed PXRD pattern, a wavelength of 1.5418 Å. Input: DFT lattice parameters and positions (GGA-PBE).
Peak positions follow from Bragg's law for the DFT cell and can differ from measured ones.

Most intense lines, 10° ≤ 2θ ≤ 80°, low angle first:
2θ/deg	Rel. int.
29.6	42.1
33.7	29.3
36.1	21.6
36.6	100.0
37.5	36.8
37.9	47.8
39.7	32.0
42.2	27.1
62.5	19.9
67.1	24.3

a = 9.518 Å, b = 5.943 Å, c = 4.977 Å
α = 90.00°, β = 113.70°, γ = 90.00°
Atoms (fractional coordinates):
Er1 0.000 0.000 0.000
Er2 0.500 0.500 0.000
Zn1 0.031 0.500 0.266
Zn2 0.469 0.000 0.734
Zn3 0.531 0.000 0.266
Zn4 0.969 0.500 0.734
Ga1 0.193 0.222 0.703
Ga2 0.193 0.778 0.703
Ga3 0.307 0.278 0.297
Ga4 0.307 0.722 0.297
Ga5 0.693 0.278 0.703
Ga6 0.693 0.722 0.703
Ga7 0.807 0.222 0.297
Ga8 0.807 0.778 0.297

=====

No. 4
# ErZn10Ga2
Computed PXRD pattern, a wavelength of 1.5418 Å. Input: DFT lattice parameters and positions (GGA-PBE).
Peak positions follow from Bragg's law for the DFT cell and can differ from measured ones.

Most intense lines, 10° ≤ 2θ ≤ 80°, low angle first:
2θ/deg	Rel. int.
34.2	38.5
37.4	38.0
39.6	57.4
39.9	56.7
40.0	100.0
40.8	33.6
44.8	33.6
45.0	21.5
72.1	19.5
73.8	24.6

a = 6.869 Å, b = 6.869 Å, c = 9.059 Å
α = 90.00°, β = 90.00°, γ = 99.89°
Atoms (fractional coordinates):
Er1 0.133 0.867 0.750
Er2 0.867 0.133 0.250
Zn1 0.141 0.377 0.750
Zn2 0.150 0.850 0.104
Zn3 0.150 0.850 0.396
Zn4 0.220 0.220 0.000
Zn5 0.220 0.220 0.500
Zn6 0.233 0.479 0.250
Zn7 0.377 0.141 0.250
Zn8 0.397 0.603 0.579
Zn9 0.397 0.603 0.921
Zn10 0.479 0.233 0.750
Zn11 0.521 0.767 0.250
Zn12 0.603 0.397 0.079
Zn13 0.603 0.397 0.421
Zn14 0.623 0.859 0.750
Zn15 0.767 0.521 0.750
Zn16 0.780 0.780 0.000
Zn17 0.780 0.780 0.500
Zn18 0.850 0.150 0.604
Zn19 0.850 0.150 0.896
Zn20 0.859 0.623 0.250
Ga1 0.000 0.500 0.000
Ga2 0.000 0.500 0.500
Ga3 0.500 0.000 0.000
Ga4 0.500 0.000 0.500

=====

No. 5
# Er2Zn16Ga
Computed PXRD pattern, a wavelength of 1.5418 Å. Input: DFT lattice parameters and positions (GGA-PBE).
Peak positions follow from Bragg's law for the DFT cell and can differ from measured ones.

Most intense lines, 10° ≤ 2θ ≤ 80°, low angle first:
2θ/deg	Rel. int.
28.5	27.2
34.6	40.9
35.9	19.7
40.1	54.9
40.4	100.0
41.4	30.2
45.4	24.7
65.9	17.8
72.9	19.3
74.9	19.8

a = 6.780 Å, b = 6.780 Å, c = 6.780 Å
α = 83.05°, β = 83.05°, γ = 83.05°
Atoms (fractional coordinates):
Er1 0.000 0.000 0.000
Er2 0.332 0.332 0.332
Zn1 0.017 0.017 0.501
Zn2 0.017 0.501 0.017
Zn3 0.160 0.669 0.669
Zn4 0.313 0.313 0.833
Zn5 0.313 0.833 0.313
Zn6 0.362 0.666 0.970
Zn7 0.362 0.970 0.666
Zn8 0.501 0.017 0.017
Zn9 0.666 0.362 0.970
Zn10 0.666 0.970 0.362
Zn11 0.669 0.160 0.669
Zn12 0.669 0.669 0.160
Zn13 0.763 0.763 0.763
Zn14 0.833 0.313 0.313
Zn15 0.970 0.362 0.666
Zn16 0.970 0.666 0.362
Ga1 0.565 0.565 0.565

=====

No. 6
# Er5Zn2Ga5
Computed PXRD pattern, a wavelength of 1.5418 Å. Input: DFT lattice parameters and positions (GGA-PBE).
Peak positions follow from Bragg's law for the DFT cell and can differ from measured ones.

Most intense lines, 10° ≤ 2θ ≤ 80°, low angle first:
2θ/deg	Rel. int.
29.5	15.4
29.8	12.2
34.7	16.6
35.4	100.0
36.3	17.6
36.6	33.7
40.8	26.6
55.7	14.3
62.0	13.9
70.8	13.2

a = 8.073 Å, b = 8.073 Å, c = 8.073 Å
α = 148.19°, β = 110.06°, γ = 78.88°
Atoms (fractional coordinates):
Er1 0.000 0.000 0.000
Er2 0.167 0.858 0.310
Er3 0.452 0.142 0.310
Er4 0.548 0.858 0.690
Er5 0.833 0.142 0.690
Zn1 0.160 0.660 0.500
Zn2 0.840 0.340 0.500
Ga1 0.206 0.500 0.706
Ga2 0.264 0.264 0.000
Ga3 0.500 0.500 0.000
Ga4 0.736 0.736 0.000
Ga5 0.794 0.500 0.294